(1)
Structure and simulated X-ray powder pattern of CeY4Zn5 (the PBE geometry in the Materials Project; Cu Ka).
Neutral-atom scattering factors, no anomalous dispersion.

Cell and atoms:
Lattice parameters (Å, degrees): 3.6035 3.6035 18.0865 90.00 90.00 90.00
Space group P4/mmm (No. 123)
Unique sites:
1 Ce 0.0000 0.0000 0.0000 [1 per cell]
2 Y 0.0000 0.0000 0.2000 [2 per cell]
3 Y 0.0000 0.0000 0.4003 [2 per cell]
4 Zn 0.5000 0.5000 0.1016 [2 per cell]
5 Zn 0.5000 0.5000 0.3002 [2 per cell]
6 Zn 0.5000 0.5000 0.5000 [1 per cell]

Peak list (8 most intense, 10 to 80 degrees two-theta, by angle)
- hkl 0 0 5, 24.67°, intensity 4
- hkl 1 1 0, 35.18°, intensity 100
- hkl 0 0 10, 50.46°, intensity 6
- hkl 2 0 0, 50.67°, intensity 11
- hkl 1 1 10, 63.03°, intensity 12
- hkl 2 1 5, 63.16°, intensity 23
- hkl 2 0 10, 74.31°, intensity 7
- hkl 2 2 0, 74.47°, intensity 3

(2)
Structure and simulated X-ray powder pattern of CeZn2 (the PBE geometry in the Materials Project; Cu Ka).
Neutral-atom scattering factors, no anomalous dispersion.

Cell and atoms:
Lattice parameters (Å, degrees): 4.5788 7.2766 7.5217 90.00 90.00 90.00
Space group Imma (No. 74)
Unique sites:
1 Ce 0.0000 0.2500 0.0360 [4 per cell]
2 Zn 0.0000 0.0573 0.6638 [8 per cell]

Peak list (8 most intense, 10 to 80 degrees two-theta, by angle)
- hkl 1 1 2, 33.19°, intensity 32
- hkl 1 2 1, 33.64°, intensity 100
- hkl 0 2 2, 34.29°, intensity 40
- hkl 0 3 1, 39.02°, intensity 18
- hkl 2 0 0, 39.36°, intensity 35
- hkl 1 0 3, 41.04°, intensity 50
- hkl 2 2 2, 53.17°, intensity 23
- hkl 1 3 4, 66.10°, intensity 17

(3)
Structure and simulated X-ray powder pattern of CeZn2 (the PBE geometry in the Materials Project; Cu Ka).
Neutral-atom scattering factors, no anomalous dispersion.

Cell and atoms:
Lattice parameters (Å, degrees): 4.6132 6.8908 7.9075 90.00 90.00 90.00
Space group Imma (No. 74)
Unique sites:
1 Ce 0.0000 0.2500 0.0162 [4 per cell]
2 Zn 0.0000 0.0354 0.6659 [8 per cell]

Peak list (8 most intense, 10 to 80 degrees two-theta, by angle)
- hkl 1 0 1, 22.31°, intensity 16
- hkl 1 2 1, 34.41°, intensity 100
- hkl 0 2 2, 34.53°, intensity 48
- hkl 2 0 0, 39.05°, intensity 34
- hkl 1 0 3, 39.37°, intensity 63
- hkl 0 4 0, 53.12°, intensity 37
- hkl 3 2 1, 67.78°, intensity 13
- hkl 1 4 3, 68.13°, intensity 28